Diffraction record for NdCoC. The XRD peak list is theoretical, not measured: it uses a structure optimized by DFT (GGA-PBE) and Cu Kα (λ = 1.5418 Å).
Peak positions follow from Bragg's law for the DFT cell and can differ from measured ones.

Cell and atoms:
Lattice parameters (Å, degrees): 3.659 3.659 7.416 90.00 90.00 90.00
Fractional positions:
1 Nd 0.000 0.000 0.250
2 Nd 0.000 0.000 0.750
3 Co 0.500 0.500 0.000
4 Co 0.500 0.500 0.500
5 C 0.000 0.500 0.000
6 C 0.500 0.000 0.500

Top 10 peaks for 2θ = 5–70°, by angle:
two_theta	I (rel.)
24.00	7
24.33	19
34.44	100
34.67	44
42.61	11
49.14	10
49.85	19
55.57	4
61.54	17
61.99	35